Ba9Nd2S12: computed XRD peak list (Cu Kα, 1.54184 Å), based on a PBE-relaxed structure.
Neutral-atom scattering factors, no anomalous dispersion.

Principal peaks in the range 10° ≤ 2θ ≤ 90°, by angle:
2θ (°)  I_rel  (hkl)
24.35  48  1 3 1
24.51  15  0 0 4
28.24  100  2 0 2
40.26  37  0 6 0
40.46  34  1 3 5
47.70  16  0 6 4
49.90  19  2 6 2
58.40  11  4 0 4
65.97  16  4 6 -4
73.32  11  4 6 4

Atomic structure:
Unit cell a=7.762 b=13.437 c=14.758 alpha=90.00 beta=100.10 gamma=90.00
Space group C2/m (No. 12)
Unique sites:
1 Ba 0.000 0.000 0.000 (multiplicity 2)
2 Ba 0.000 0.331 0.000 (multiplicity 4)
3 Ba 0.240 0.339 0.739 (multiplicity 8)
4 Ba 0.241 0.500 0.261 (multiplicity 4)
5 Nd 0.000 0.167 0.500 (multiplicity 4)
6 S 0.094 0.000 0.390 (multiplicity 4)
7 S 0.124 0.167 0.869 (multiplicity 8)
8 S 0.125 0.500 0.873 (multiplicity 4)
9 S 0.147 0.315 0.391 (multiplicity 8)